No. 1
Al2Hg: computed powder X-ray diffraction pattern (Cu Kα, 1.54184 Å), based on a crystal structure in Alexandria, relaxed with PBE.

Largest 10 diffraction maxima, in order of rising 2θ, 15 to 90 degrees two-theta:
2theta	Rel. int.
20.85	1000
26.30	307
28.51	251
32.68	377
32.95	337
34.21	315
38.06	527
42.42	179
43.33	346
48.03	244

Crystal structure
```
data_Al2Hg
_space_group_name_H-M_alt 'C m c m'
_space_group_IT_number 63
_space_group_name_Hall '-C 2c 2'
_cell_length_a 3.2182
_cell_length_b 13.5522
_cell_length_c 5.4807
_cell_angle_alpha 90.00
_cell_angle_beta 90.00
_cell_angle_gamma 90.00
loop_
_atom_site_label
_atom_site_type_symbol
_atom_site_fract_x
_atom_site_fract_y
_atom_site_fract_z
_atom_site_occupancy
Al1 Al 0.0000 0.0456 0.2500 1
Al2 Al 0.0000 0.2926 0.7500 1
Hg1 Hg 0.0000 0.3764 0.2500 1
```


No. 2
Al3Hg: computed powder X-ray diffraction pattern (Cu Kα, 1.54184 Å), based on a crystal structure in Alexandria, relaxed with PBE.

Largest 10 diffraction maxima, in order of rising 2θ, 15 to 90 degrees two-theta:
2theta	Rel. int.
18.95	1000
31.34	307
33.14	266
36.88	528
38.45	471
41.78	288
50.41	169
51.64	157
54.33	174
68.52	175

Crystal structure
```
data_Al3Hg
_space_group_name_H-M_alt 'R -3 m'
_space_group_IT_number 166
_space_group_name_Hall '-R 3 2"'
_cell_length_a 9.3653
_cell_length_b 9.3653
_cell_length_c 3.0492
_cell_angle_alpha 90.00
_cell_angle_beta 90.00
_cell_angle_gamma 120.00
loop_
_atom_site_label
_atom_site_type_symbol
_atom_site_fract_x
_atom_site_fract_y
_atom_site_fract_z
_atom_site_occupancy
Al1 Al 0.0000 0.5000 0.0000 1
Hg1 Hg 0.0000 0.0000 0.0000 1
```


No. 3
Al2Hg: computed powder X-ray diffraction pattern (Cu Kα, 1.54184 Å), based on a crystal structure in Alexandria, relaxed with PBE.

Largest 10 diffraction maxima, in order of rising 2θ, 15 to 90 degrees two-theta:
2theta	Rel. int.
23.79	1000
27.54	669
39.34	522
46.49	778
48.69	190
62.49	229
64.30	247
71.32	187
76.39	249
89.49	184

Crystal structure
```
data_Al2Hg
_space_group_name_H-M_alt 'P a -3'
_space_group_IT_number 205
_space_group_name_Hall '-P 2ac 2ab 3'
_cell_length_a 6.4786
_cell_length_b 6.4786
_cell_length_c 6.4786
_cell_angle_alpha 90.00
_cell_angle_beta 90.00
_cell_angle_gamma 90.00
loop_
_atom_site_label
_atom_site_type_symbol
_atom_site_fract_x
_atom_site_fract_y
_atom_site_fract_z
_atom_site_occupancy
Al1 Al 0.1225 0.1225 0.1225 1
Hg1 Hg 0.0000 0.0000 0.5000 1
```


No. 4
Al3Hg5: computed powder X-ray diffraction pattern (Cu Kα, 1.54184 Å), based on a crystal structure in Alexandria, relaxed with PBE.

Largest 10 diffraction maxima, in order of rising 2θ, 15 to 90 degrees two-theta:
2theta	Rel. int.
21.35	183
23.79	120
27.32	222
34.93	1000
38.10	205
39.91	180
43.48	124
56.36	133
66.81	156
69.27	139

Crystal structure
```
data_Al3Hg5
_space_group_name_H-M_alt 'C m m m'
_space_group_IT_number 65
_space_group_name_Hall '-C 2 2'
_cell_length_a 8.3254
_cell_length_b 9.0345
_cell_length_c 4.7237
_cell_angle_alpha 90.00
_cell_angle_beta 90.00
_cell_angle_gamma 90.00
loop_
_atom_site_label
_atom_site_type_symbol
_atom_site_fract_x
_atom_site_fract_y
_atom_site_fract_z
_atom_site_occupancy
Al1 Al 0.0000 0.0000 0.0000 1
Al2 Al 0.0000 0.2626 0.5000 1
Hg1 Hg 0.0000 0.5000 0.0000 1
Hg2 Hg 0.2257 0.0000 0.5000 1
Hg3 Hg 0.2500 0.2500 0.0000 1
```